Structure and theoretical X-ray diffraction stick pattern of Mg6AlCo (a structure optimized by DFT (GGA-PBE); λ = 1.5418 Å (Cu Kα)).
Kinematic intensities with the Lorentz-polarization factor, no thermal factor.

Crystal structure
Lattice parameters (Å, degrees): 4.8565 6.0155 10.5294 90.00 90.00 90.00
Space group Amm2 (No. 38)
Symmetry-distinct sites (fractional):
Mg  0.0000  0.0000  0.0000 (multiplicity 2)
Mg  0.0000  0.0000  0.4934 (multiplicity 2)
Mg  0.0000  0.2408  0.2561 (multiplicity 4)
Mg  0.5000  0.2504  0.0855 (multiplicity 4)
Al  0.5000  0.0000  0.8370 (multiplicity 2)
Co  0.5000  0.0000  0.3362 (multiplicity 2)

The 10 most intense peaks (2θ from 15° to 90°), most intense first:
two_theta, d (Å), I (rel.), h k l
39.17, 2.300, 100, 1 2 2
38.92, 2.314, 52, 1 0 4
37.02, 2.428, 39, 2 0 0
34.34, 2.612, 27, 0 2 2
73.68, 1.286, 18, 2 2 6
68.15, 1.376, 18, 3 2 2
61.14, 1.516, 17, 0 2 6
51.38, 1.778, 16, 2 2 2
16.98, 5.223, 14, 0 1 1
75.37, 1.261, 13, 1 4 4